1.
This entry pairs a crystal structure of PbAuO2 with its calculated powder XRD pattern. Radiation: copper Kα. Structure: a crystal structure in the Materials Project, relaxed with GGA-PBE.
Intensities are scaled so that the largest is 100.

Cell and atoms:
Cell lengths 3.764, 5.665, 6.974 Å; angles 88.21, 82.51, 89.33 degrees
Positions (direct):
Pb  0.186  0.003  0.237
Pb  0.814  0.997  0.763
Au  0.500  0.500  0.000
Au  0.500  0.500  0.500
O  0.290  0.187  0.933
O  0.390  0.677  0.752
O  0.610  0.323  0.248
O  0.710  0.813  0.067

Peak list (6 most intense, 10 to 90 degrees two-theta, in order of falling intensity)
29.88 deg, intensity 100; 30.71 deg, intensity 83; 31.61 deg, intensity 70; 28.57 deg, intensity 65; 28.76 deg, intensity 52; 32.94 deg, intensity 48

---

2.
This entry pairs a crystal structure of PbAuO2 with its calculated powder XRD pattern. Radiation: copper Kα. Structure: a crystal structure in the Materials Project, relaxed with GGA-PBE.
Intensities are scaled so that the largest is 100.

Cell and atoms:
Cell lengths 6.592, 6.592, 6.590 Å; angles 98.78, 98.78, 32.17 degrees
Positions (direct):
Pb  0.000  0.000  0.000
Pb  0.500  0.500  0.500
Au  0.249  0.249  0.786
Au  0.751  0.751  0.214
O  0.087  0.087  0.731
O  0.412  0.412  0.826
O  0.588  0.588  0.174
O  0.913  0.913  0.269

Peak list (6 most intense, 10 to 90 degrees two-theta, in order of falling intensity)
29.47 deg, intensity 100; 34.07 deg, intensity 56; 28.55 deg, intensity 48; 28.85 deg, intensity 47; 47.95 deg, intensity 42; 33.00 deg, intensity 29

---

3.
This entry pairs a crystal structure of PbAuO2 with its calculated powder XRD pattern. Radiation: copper Kα. Structure: a crystal structure in the Materials Project, relaxed with GGA-PBE.
Intensities are scaled so that the largest is 100.

Cell and atoms:
Cell lengths 6.587, 3.670, 6.661 Å; angles 90.00, 111.02, 90.00 degrees
Positions (direct):
Pb  0.000  0.000  0.000
Pb  0.500  0.500  0.000
Au  0.000  0.500  0.500
Au  0.500  0.000  0.500
O  0.085  0.500  0.825
O  0.361  0.000  0.174
O  0.639  0.000  0.826
O  0.915  0.500  0.175

Peak list (6 most intense, 10 to 90 degrees two-theta, in order of falling intensity)
29.33 deg, intensity 100; 34.19 deg, intensity 55; 29.05 deg, intensity 51; 28.72 deg, intensity 46; 32.81 deg, intensity 31; 48.32 deg, intensity 28

---

4.
This entry pairs a crystal structure of PbAuO2 with its calculated powder XRD pattern. Radiation: copper Kα. Structure: a crystal structure in the Materials Project, relaxed with GGA-PBE.
Intensities are scaled so that the largest is 100.

Cell and atoms:
Cell lengths 3.751, 3.751, 12.487 Å; angles 90.00, 90.00, 120.00 degrees
Positions (direct):
Pb  0.000  0.000  0.000
Pb  0.000  0.000  0.500
Au  0.333  0.667  0.250
Au  0.667  0.333  0.750
O  0.333  0.667  0.089
O  0.333  0.667  0.411
O  0.667  0.333  0.589
O  0.667  0.333  0.911

Peak list (6 most intense, 10 to 90 degrees two-theta, in order of falling intensity)
31.03 deg, intensity 100; 28.39 deg, intensity 50; 28.59 deg, intensity 34; 48.54 deg, intensity 32; 57.31 deg, intensity 31; 52.20 deg, intensity 28

---

5.
This entry pairs a crystal structure of PbAuO2 with its calculated powder XRD pattern. Radiation: copper Kα. Structure: a crystal structure in the Materials Project, relaxed with GGA-PBE.
Intensities are scaled so that the largest is 100.

Cell and atoms:
Cell lengths 6.605, 6.605, 6.605 Å; angles 33.00, 33.00, 33.00 degrees
Positions (direct):
Pb  0.000  0.000  0.000
Au  0.500  0.500  0.500
O  0.393  0.393  0.393
O  0.607  0.607  0.607

Peak list (6 most intense, 10 to 90 degrees two-theta, in order of falling intensity)
29.09 deg, intensity 100; 33.57 deg, intensity 57; 28.61 deg, intensity 30; 48.52 deg, intensity 28; 47.90 deg, intensity 28; 57.30 deg, intensity 27

---

6.
This entry pairs a crystal structure of PdAuO2 with its calculated powder XRD pattern. Radiation: copper Kα. Structure: a crystal structure in the Materials Project, relaxed with GGA-PBE.
Intensities are scaled so that the largest is 100.

Cell and atoms:
Cell lengths 6.489, 6.489, 6.309 Å; angles 107.85, 107.85, 27.58 degrees
Positions (direct):
Pd  0.000  0.000  0.000
Pd  0.500  0.500  0.500
Au  0.235  0.235  0.789
Au  0.765  0.765  0.211
O  0.061  0.061  0.722
O  0.402  0.402  0.832
O  0.598  0.598  0.168
O  0.939  0.939  0.278

Peak list (6 most intense, 10 to 90 degrees two-theta, in order of falling intensity)
34.53 deg, intensity 100; 28.84 deg, intensity 67; 29.88 deg, intensity 66; 36.94 deg, intensity 55; 54.37 deg, intensity 30; 37.61 deg, intensity 30

---

7.
This entry pairs a crystal structure of PdAuO2 with its calculated powder XRD pattern. Radiation: copper Kα. Structure: a crystal structure in the Materials Project, relaxed with GGA-PBE.
Intensities are scaled so that the largest is 100.

Cell and atoms:
Cell lengths 3.272, 3.272, 12.188 Å; angles 90.00, 90.00, 120.00 degrees
Positions (direct):
Pd  0.000  0.000  0.000
Pd  0.000  0.000  0.500
Au  0.333  0.667  0.250
Au  0.667  0.333  0.750
O  0.333  0.667  0.081
O  0.333  0.667  0.419
O  0.667  0.333  0.581
O  0.667  0.333  0.919

Peak list (6 most intense, 10 to 90 degrees two-theta, in order of falling intensity)
32.44 deg, intensity 100; 34.92 deg, intensity 94; 29.31 deg, intensity 53; 38.74 deg, intensity 37; 64.66 deg, intensity 35; 56.22 deg, intensity 34

---

8.
This entry pairs a crystal structure of PdAuO2 with its calculated powder XRD pattern. Radiation: copper Kα. Structure: a crystal structure in the Materials Project, relaxed with GGA-PBE.
Intensities are scaled so that the largest is 100.

Cell and atoms:
Cell lengths 6.451, 6.451, 6.451 Å; angles 29.09, 29.09, 29.09 degrees
Positions (direct):
Pd  0.000  0.000  0.000
Au  0.500  0.500  0.500
O  0.388  0.388  0.388
O  0.612  0.612  0.612

Peak list (6 most intense, 10 to 90 degrees two-theta, in order of falling intensity)
33.36 deg, intensity 100; 37.47 deg, intensity 57; 28.92 deg, intensity 41; 51.14 deg, intensity 33; 65.00 deg, intensity 26; 56.82 deg, intensity 25